# 1
Structure and theoretical powder diffraction line list of Cd6NiPd5 (a cell relaxed with PBE; Cu Kα).
Peak positions follow from Bragg's law for the DFT cell and can differ from measured ones.

Most intense lines, 2θ from 10° to 90°, sorted by position:
2theta  I (rel.)
39.09  100
56.47  16
70.81  27
70.88  5
83.85  2
84.01  9

Structure:
Unit cell a=7.2958 b=7.2958 c=6.5121 alpha=90.00 beta=90.00 gamma=143.19
Fractional coordinates of all 12 atoms:
Cd 0.0000 0.0000 0.2437
Cd 0.0000 0.0000 0.7563
Cd 0.3364 0.6636 0.2469
Cd 0.3364 0.6636 0.7531
Cd 0.6636 0.3364 0.2469
Cd 0.6636 0.3364 0.7531
Ni 0.5000 0.5000 0.0000
Pd 0.1676 0.8324 0.0000
Pd 0.1681 0.8319 0.5000
Pd 0.5000 0.5000 0.5000
Pd 0.8324 0.1676 0.0000
Pd 0.8319 0.1681 0.5000

---

# 2
Structure and theoretical powder diffraction line list of Cd4NiPd (a cell relaxed with PBE; Cu Kα).
Peak positions follow from Bragg's law for the DFT cell and can differ from measured ones.

Most intense lines, 2θ from 10° to 90°, sorted by position:
2theta  I (rel.)
24.32  29
27.78  14
28.34  27
40.10  100
40.51  49
49.83  10
58.63  16
72.58  15
73.41  31
86.58  10

Structure:
Unit cell a=4.4537 b=4.4537 c=6.4229 alpha=90.00 beta=90.00 gamma=90.00
Fractional coordinates of all 6 atoms:
Cd 0.0000 0.5000 0.2381
Cd 0.0000 0.5000 0.7619
Cd 0.5000 0.0000 0.2381
Cd 0.5000 0.0000 0.7619
Ni 0.0000 0.0000 0.0000
Pd 0.5000 0.5000 0.5000

---

# 3
Structure and theoretical powder diffraction line list of Pm5Cd2Ni2 (a cell relaxed with PBE; Cu Kα).
Peak positions follow from Bragg's law for the DFT cell and can differ from measured ones.

Most intense lines, 2θ from 10° to 90°, sorted by position:
2theta  I (rel.)
27.42  45
29.62  44
30.59  100
32.48  52
32.96  46
33.96  40
34.35  64
35.58  87
58.56  37
62.98  45

Structure:
Unit cell a=8.7348 b=8.7348 c=8.5674 alpha=90.00 beta=90.00 gamma=47.46
Fractional coordinates of all 18 atoms:
Pm 0.0000 0.0000 0.0000
Pm 0.0377 0.7248 0.6827
Pm 0.2248 0.5377 0.1827
Pm 0.2752 0.9623 0.6827
Pm 0.4623 0.7752 0.1827
Pm 0.5000 0.5000 0.5000
Pm 0.5377 0.2248 0.8173
Pm 0.7248 0.0377 0.3173
Pm 0.7752 0.4623 0.8173
Pm 0.9623 0.2752 0.3173
Cd 0.2145 0.2145 0.0000
Cd 0.2855 0.2855 0.5000
Cd 0.7145 0.7145 0.5000
Cd 0.7855 0.7855 0.0000
Ni 0.1240 0.8760 0.3936
Ni 0.3760 0.6240 0.8936
Ni 0.6240 0.3760 0.1064
Ni 0.8760 0.1240 0.6064